No. 1
Computed powder X-ray diffraction pattern
Compound: Ba4As12I
Radiation: λ = 1.5418 Å (Cu Kα)
Structure: DFT lattice parameters and positions (PBE)
Peak positions follow from Bragg's law for the DFT cell and can differ from measured ones.

Main lines, low angle first (2θ from 10° to 80°):
- 23.56°, I = 1000
- 26.39°, I = 589
- 31.34°, I = 224
- 37.67°, I = 496
- 41.42°, I = 253
- 43.20°, I = 558
- 46.58°, I = 138
- 54.33°, I = 102
- 55.79°, I = 235
- 60.02°, I = 194
- 62.74°, I = 113
- 65.40°, I = 208

```
Ba4As12I
1.0
-5.340 5.340 5.340
5.340 -5.340 5.340
5.340 5.340 -5.340
Ba As I
4 12 1
direct
0.000 0.000 0.500
0.000 0.500 0.000
0.500 0.000 0.000
0.500 0.500 0.500
0.113 0.500 0.387
0.113 0.725 0.613
0.275 0.387 0.887
0.387 0.113 0.500
0.387 0.887 0.275
0.500 0.387 0.113
0.500 0.613 0.887
0.613 0.113 0.725
0.613 0.887 0.500
0.725 0.613 0.113
0.887 0.275 0.387
0.887 0.500 0.613
0.000 0.000 0.000
```

***

No. 2
Computed powder X-ray diffraction pattern
Compound: Pm2NdDyHo5
Radiation: λ = 1.5418 Å (Cu Kα)
Structure: DFT lattice parameters and positions (PBE)
Peak positions follow from Bragg's law for the DFT cell and can differ from measured ones.

Main lines, low angle first (2θ from 10° to 80°):
- 28.74°, I = 463
- 28.94°, I = 515
- 30.98°, I = 1000
- 32.45°, I = 122
- 34.53°, I = 115
- 37.19°, I = 113
- 37.63°, I = 164
- 43.13°, I = 201
- 46.41°, I = 103
- 47.23°, I = 121
- 52.59°, I = 219
- 56.34°, I = 132

```
Pm2NdDyHo5
1.0
-4.363 4.363 7.699
4.363 -4.363 7.699
4.363 4.363 -7.699
Pm Nd Dy Ho
4 2 2 10
direct
0.116 0.616 0.733
0.384 0.116 0.500
0.616 0.884 0.500
0.884 0.384 0.267
0.250 0.250 0.000
0.750 0.750 0.000
0.250 0.750 0.500
0.750 0.250 0.500
0.000 0.000 0.000
0.072 0.153 0.500
0.153 0.653 0.081
0.347 0.428 0.500
0.428 0.928 0.081
0.500 0.500 0.000
0.572 0.072 0.919
0.653 0.572 0.500
0.847 0.347 0.919
0.928 0.847 0.500
```

***

No. 3
Computed powder X-ray diffraction pattern
Compound: BaSrAs2O6
Radiation: λ = 1.5418 Å (Cu Kα)
Structure: DFT lattice parameters and positions (PBE)
Peak positions follow from Bragg's law for the DFT cell and can differ from measured ones.

Main lines, low angle first (2θ from 10° to 80°):
- 17.86°, I = 96
- 25.82°, I = 1000
- 29.64°, I = 199
- 30.04°, I = 613
- 40.02°, I = 220
- 42.12°, I = 195
- 42.70°, I = 158
- 50.83°, I = 240
- 53.09°, I = 113
- 53.34°, I = 200
- 68.72°, I = 127
- 69.98°, I = 92

```
BaSrAs2O6
1.0
2.975 1.718 6.194
-2.975 1.718 6.194
0.000 -3.435 6.194
Ba Sr As O
1 1 2 6
direct
0.000 0.000 0.000
0.500 0.500 0.500
0.217 0.217 0.217
0.783 0.783 0.783
0.042 0.730 0.488
0.270 0.512 0.958
0.488 0.042 0.730
0.512 0.958 0.270
0.730 0.488 0.042
0.958 0.270 0.512
```

***

No. 4
Computed powder X-ray diffraction pattern
Compound: Ac2TmTe4
Radiation: λ = 1.5418 Å (Cu Kα)
Structure: DFT lattice parameters and positions (PBE)
Peak positions follow from Bragg's law for the DFT cell and can differ from measured ones.

Main lines, low angle first (2θ from 10° to 80°):
- 19.28°, I = 279
- 22.38°, I = 166
- 24.85°, I = 165
- 27.40°, I = 330
- 28.94°, I = 306
- 29.64°, I = 1000
- 33.78°, I = 641
- 35.65°, I = 279
- 38.94°, I = 177
- 40.21°, I = 244
- 40.99°, I = 262
- 50.93°, I = 158

```
Ac2TmTe4
1.0
14.493 0.000 0.000
0.000 4.404 0.000
-4.814 0.000 7.965
Ac Tm Te
4 2 8
direct
0.145 0.000 0.197
0.355 0.500 0.803
0.645 0.500 0.197
0.855 0.000 0.803
0.000 0.500 0.500
0.500 0.000 0.500
0.062 0.500 0.867
0.162 0.000 0.574
0.338 0.500 0.426
0.438 0.000 0.133
0.562 0.000 0.867
0.662 0.500 0.574
0.838 0.000 0.426
0.938 0.500 0.133
```

***

No. 5
Computed powder X-ray diffraction pattern
Compound: Sm2Cu2Pd5Au
Radiation: λ = 1.5418 Å (Cu Kα)
Structure: DFT lattice parameters and positions (PBE)
Peak positions follow from Bragg's law for the DFT cell and can differ from measured ones.

Main lines, low angle first (2θ from 10° to 80°):
- 30.83°, I = 231
- 35.07°, I = 335
- 37.67°, I = 1000
- 39.50°, I = 369
- 41.30°, I = 297
- 43.01°, I = 161
- 45.28°, I = 268
- 61.63°, I = 197
- 64.22°, I = 98
- 67.97°, I = 73
- 75.28°, I = 100
- 78.53°, I = 116

```
Sm2Cu2Pd5Au
1.0
9.406 0.000 0.000
0.000 9.406 0.000
0.000 0.000 4.005
Sm Cu Pd Au
4 4 10 2
direct
0.180 0.320 0.000
0.320 0.820 0.000
0.680 0.180 0.000
0.820 0.680 0.000
0.118 0.618 0.000
0.382 0.118 0.000
0.618 0.882 0.000
0.882 0.382 0.000
0.000 0.500 0.500
0.067 0.793 0.500
0.207 0.067 0.500
0.293 0.567 0.500
0.433 0.293 0.500
0.500 0.000 0.500
0.567 0.707 0.500
0.707 0.433 0.500
0.793 0.933 0.500
0.933 0.207 0.500
0.000 0.000 0.000
0.500 0.500 0.000
```

***

No. 6
Computed powder X-ray diffraction pattern
Compound: PaSn2Pb
Radiation: λ = 1.5418 Å (Cu Kα)
Structure: DFT lattice parameters and positions (PBE)
Peak positions follow from Bragg's law for the DFT cell and can differ from measured ones.

Main lines, low angle first (2θ from 10° to 80°):
- 19.06°, I = 71
- 26.66°, I = 65
- 32.98°, I = 1000
- 38.06°, I = 342
- 38.68°, I = 164
- 42.90°, I = 38
- 47.59°, I = 28
- 54.91°, I = 121
- 55.38°, I = 237
- 65.56°, I = 290
- 66.40°, I = 140
- 69.18°, I = 124

```
PaSn2Pb
1.0
4.729 0.000 0.000
0.000 4.729 0.000
0.000 0.000 4.656
Pa Sn Pb
1 2 1
direct
0.000 0.000 0.000
0.000 0.500 0.500
0.500 0.000 0.500
0.500 0.500 0.000
```

***

No. 7
Computed powder X-ray diffraction pattern
Compound: Cr2OsPt
Radiation: λ = 1.5418 Å (Cu Kα)
Structure: DFT lattice parameters and positions (PBE)
Peak positions follow from Bragg's law for the DFT cell and can differ from measured ones.

Main lines, low angle first (2θ from 10° to 80°):
- 20.43°, I = 871
- 38.91°, I = 358
- 39.10°, I = 177
- 40.79°, I = 1000
- 40.96°, I = 494
- 41.54°, I = 475
- 47.67°, I = 636
- 47.85°, I = 314
- 52.39°, I = 160
- 69.44°, I = 203
- 70.29°, I = 294
- 73.24°, I = 125

```
Cr2OsPt
1.0
4.619 0.000 0.000
0.000 2.720 0.000
-1.579 0.000 4.407
Cr Os Pt
2 1 1
direct
0.000 0.000 0.000
0.000 0.500 0.500
0.500 0.000 0.500
0.500 0.500 0.000
```

***

No. 8
Computed powder X-ray diffraction pattern
Compound: RbCrS2
Radiation: λ = 1.5418 Å (Cu Kα)
Structure: DFT lattice parameters and positions (PBE)
Peak positions follow from Bragg's law for the DFT cell and can differ from measured ones.

Main lines, low angle first (2θ from 10° to 80°):
- 22.11°, I = 1000
- 29.01°, I = 351
- 31.47°, I = 550
- 33.98°, I = 141
- 35.30°, I = 185
- 37.59°, I = 782
- 44.04°, I = 373
- 50.79°, I = 304
- 55.13°, I = 381
- 60.12°, I = 243
- 65.70°, I = 103
- 71.53°, I = 92

```
RbCrS2
1.0
8.039 0.000 0.000
0.000 8.039 0.000
0.000 0.000 5.957
Rb Cr S
4 4 8
direct
0.000 0.000 0.250
0.000 0.000 0.750
0.500 0.500 0.250
0.500 0.500 0.750
0.000 0.500 0.250
0.000 0.500 0.750
0.500 0.000 0.250
0.500 0.000 0.750
0.145 0.355 0.000
0.145 0.645 0.500
0.355 0.145 0.500
0.355 0.855 0.000
0.645 0.145 0.000
0.645 0.855 0.500
0.855 0.355 0.500
0.855 0.645 0.000
```